The following is a theoretical X-ray powder pattern of RbLiAsO4. It was derived from DFT lattice parameters and positions (PBE), using Cu Kα.

Atomic structure:
abc: 5.7521 5.7521 7.9520
angles: 90.00 90.00 90.00
Atoms (fractional coordinates):
Rb 0.0000 0.0000 0.0000
Rb 0.5000 0.5000 0.5000
Li 0.0000 0.5000 0.2500
Li 0.5000 0.0000 0.7500
As 0.0000 0.0000 0.5000
As 0.5000 0.5000 0.0000
O 0.0912 0.7726 0.3766
O 0.2274 0.0912 0.6234
O 0.2726 0.4088 0.1234
O 0.4088 0.7274 0.8766
O 0.5912 0.2726 0.8766
O 0.7274 0.5912 0.1234
O 0.7726 0.9088 0.6234
O 0.9088 0.2274 0.3766

Peak list (8 most intense, 2θ from 15° to 90°, low angle first)
- 4.067 Å, 2θ = 21.85°, I = 100
- 3.976 Å, 2θ = 22.36°, I = 43
- 2.876 Å, 2θ = 31.10°, I = 33
- 2.843 Å, 2θ = 31.46°, I = 85
- 2.330 Å, 2θ = 38.64°, I = 43
- 1.811 Å, 2θ = 50.40°, I = 19
- 1.654 Å, 2θ = 55.56°, I = 31
- 1.635 Å, 2θ = 56.25°, I = 18